Diffraction record for MgTiV3O8. The powder diffraction line list is simulated, not measured: it uses a structure optimized by DFT (PBE+U) and Cu Ka.
Kinematic intensities with the Lorentz-polarization factor, no thermal factor.

Structural model:
```
data_MgTiV3O8
_chemical_formula_sum 'Mg2 Ti2 V6 O16'
_space_group_name_H-M_alt 'C 1 m 1'
_space_group_IT_number 8
_cell_length_a 12.392
_cell_length_b 3.883
_cell_length_c 6.906
_cell_angle_alpha 90.00
_cell_angle_beta 105.30
_cell_angle_gamma 90.00
loop_
_space_group_symop_operation_xyz
'x,y,z'
'x,-y,z'
'x+1/2,y+1/2,z'
'x+1/2,-y+1/2,z'
loop_
_atom_site_label
_atom_site_type_symbol
_atom_site_fract_x
_atom_site_fract_y
_atom_site_fract_z
Mg1 Mg 0.000 0.000 0.000
Ti1 Ti 0.469 0.000 0.691
V1 V 0.077 0.500 0.333
V2 V 0.273 0.500 0.693
V3 V 0.366 0.500 0.278
O1 O 0.032 0.500 0.981
O2 O 0.033 0.000 0.294
O3 O 0.112 0.500 0.636
O4 O 0.237 0.500 0.380
O5 O 0.313 0.000 0.701
O6 O 0.329 0.500 0.020
O7 O 0.409 0.000 0.365
O8 O 0.448 0.500 0.692
```

The 12 most intense peaks (10 to 80 degrees two-theta), in order of rising 2θ:
hkl  2theta  d [Å]  I (rel.)
0 0 1  13.29  6.662  45
2 0 0  14.82  5.977  73
1 1 0  24.10  3.693  100
0 0 2  26.76  3.331  39
1 1 1  28.57  3.124  40
4 0 -1  29.35  3.043  37
0 0 3  40.63  2.221  59
6 0 -1  43.86  2.064  45
0 2 0  46.79  1.942  54
7 1 -1  57.19  1.611  26
0 2 3  63.66  1.462  25
6 2 -1  66.07  1.414  22